1.
KCBr2: theoretical powder X-ray diffraction pattern (a wavelength of 1.5418 Å), based on a DFT-relaxed cell (GGA-PBE, Alexandria).

Main lines, in order of falling intensity (2θ = 10–90°):
2θ/deg, I_rel
31.92, 100
24.09, 88
25.20, 53
31.20, 48
15.45, 47
37.84, 36
53.55, 26
44.58, 22
51.77, 22
39.93, 21

Structural model:
```
data_KCBr2
_chemical_formula_sum 'K4 C4 Br8'
_symmetry_space_group_name_H-M 'P 1'
_symmetry_Int_Tables_number 1
_cell_length_a 6.4272
_cell_length_b 6.4272
_cell_length_c 12.6895
_cell_angle_alpha 90.00
_cell_angle_beta 90.00
_cell_angle_gamma 90.00
loop_
_symmetry_equiv_pos_as_xyz
'x,y,z'
loop_
_atom_site_label
_atom_site_fract_x
_atom_site_fract_y
_atom_site_fract_z
K1 0.0000 0.0000 0.0000
K2 0.0000 0.5000 0.2500
K3 0.5000 0.0000 0.7500
K4 0.5000 0.5000 0.5000
C1 0.0000 0.0000 0.5000
C2 0.0000 0.5000 0.7500
C3 0.5000 0.0000 0.2500
C4 0.5000 0.5000 0.0000
Br1 0.0965 0.2500 0.6250
Br2 0.2500 0.5965 0.8750
Br3 0.2500 0.9035 0.3750
Br4 0.4035 0.2500 0.1250
Br5 0.5965 0.7500 0.1250
Br6 0.7500 0.0965 0.3750
Br7 0.7500 0.4035 0.8750
Br8 0.9035 0.7500 0.6250
```

---

2.
K2OsCBr5O: theoretical powder X-ray diffraction pattern (a wavelength of 1.5418 Å), based on a DFT-relaxed cell (GGA-PBE, Alexandria).

Main lines, in order of falling intensity (2θ = 10–90°):
2θ/deg, I_rel
14.34, 100
16.50, 51
33.35, 32
33.82, 31
48.26, 30
28.91, 27
37.87, 20
27.56, 18
16.73, 16
29.39, 15

Structural model:
```
data_K2OsCBr5O
_chemical_formula_sum 'K8 Os4 C4 Br20 O4'
_symmetry_space_group_name_H-M 'P 1'
_symmetry_Int_Tables_number 1
_cell_length_a 15.2130
_cell_length_b 10.6012
_cell_length_c 7.5925
_cell_angle_alpha 90.00
_cell_angle_beta 90.00
_cell_angle_gamma 90.00
loop_
_symmetry_equiv_pos_as_xyz
'x,y,z'
loop_
_atom_site_label
_atom_site_fract_x
_atom_site_fract_y
_atom_site_fract_z
K1 0.1525 0.0000 0.1613
K2 0.1525 0.5000 0.1613
K3 0.3475 0.0000 0.6613
K4 0.3475 0.5000 0.6613
K5 0.6525 0.0000 0.3387
K6 0.6525 0.5000 0.3387
K7 0.8475 0.0000 0.8387
K8 0.8475 0.5000 0.8387
Os1 0.1175 0.2500 0.7004
Os2 0.3825 0.7500 0.2004
Os3 0.6175 0.2500 0.7996
Os4 0.8825 0.7500 0.2996
C1 0.0270 0.2500 0.5418
C2 0.4730 0.7500 0.0418
C3 0.5270 0.2500 0.9582
C4 0.9730 0.7500 0.4582
Br1 0.0147 0.2500 0.9652
Br2 0.1197 0.0126 0.7073
Br3 0.1197 0.4874 0.7073
Br4 0.2271 0.2500 0.4473
Br5 0.2466 0.7500 0.4172
Br6 0.2534 0.2500 0.9172
Br7 0.2729 0.7500 0.9473
Br8 0.3803 0.5126 0.2073
Br9 0.3803 0.9874 0.2073
Br10 0.4853 0.7500 0.4652
Br11 0.5147 0.2500 0.5348
Br12 0.6197 0.0126 0.7927
Br13 0.6197 0.4874 0.7927
Br14 0.7271 0.2500 0.0527
Br15 0.7466 0.7500 0.0828
Br16 0.7534 0.2500 0.5828
Br17 0.7729 0.7500 0.5527
Br18 0.8803 0.5126 0.2927
Br19 0.8803 0.9874 0.2927
Br20 0.9853 0.7500 0.0348
O1 0.0288 0.7500 0.5645
O2 0.4712 0.2500 0.0645
O3 0.5288 0.7500 0.9355
O4 0.9712 0.2500 0.4355
```

---

3.
KRb2CBr6: theoretical powder X-ray diffraction pattern (a wavelength of 1.5418 Å), based on a DFT-relaxed cell (GGA-PBE, Alexandria).

Main lines, in order of falling intensity (2θ = 10–90°):
2θ/deg, I_rel
27.81, 100
32.22, 69
46.21, 41
54.80, 31
42.26, 18
35.20, 16
64.40, 12
57.46, 12
76.71, 12
59.40, 10

Structural model:
```
data_KRb2CBr6
_chemical_formula_sum 'K1 Rb2 C1 Br6'
_symmetry_space_group_name_H-M 'P 1'
_symmetry_Int_Tables_number 1
_cell_length_a 7.8576
_cell_length_b 7.8576
_cell_length_c 7.8576
_cell_angle_alpha 60.00
_cell_angle_beta 60.00
_cell_angle_gamma 60.00
loop_
_symmetry_equiv_pos_as_xyz
'x,y,z'
loop_
_atom_site_label
_atom_site_fract_x
_atom_site_fract_y
_atom_site_fract_z
K1 0.0000 0.0000 0.0000
Rb1 0.2500 0.2500 0.2500
Rb2 0.7500 0.7500 0.7500
C1 0.5000 0.5000 0.5000
Br1 0.2822 0.2822 0.7178
Br2 0.2822 0.7178 0.2822
Br3 0.2822 0.7178 0.7178
Br4 0.7178 0.2822 0.2822
Br5 0.7178 0.2822 0.7178
Br6 0.7178 0.7178 0.2822
```

---

4.
LiCBr3: theoretical powder X-ray diffraction pattern (a wavelength of 1.5418 Å), based on a DFT-relaxed cell (GGA-PBE, Alexandria).

Main lines, in order of falling intensity (2θ = 10–90°):
2θ/deg, I_rel
32.21, 100
37.36, 59
18.43, 42
64.16, 40
53.86, 39
26.18, 19
41.96, 18
88.54, 18
67.38, 13
57.42, 9

Structural model:
```
data_LiCBr3
_chemical_formula_sum 'Li1 C1 Br3'
_symmetry_space_group_name_H-M 'P 1'
_symmetry_Int_Tables_number 1
_cell_length_a 4.8141
_cell_length_b 4.8141
_cell_length_c 4.8141
_cell_angle_alpha 90.00
_cell_angle_beta 90.00
_cell_angle_gamma 90.00
loop_
_symmetry_equiv_pos_as_xyz
'x,y,z'
loop_
_atom_site_label
_atom_site_fract_x
_atom_site_fract_y
_atom_site_fract_z
Li1 0.0000 0.0000 0.0000
C1 0.5000 0.5000 0.5000
Br1 0.0000 0.5000 0.5000
Br2 0.5000 0.0000 0.5000
Br3 0.5000 0.5000 0.0000
```

---

5.
Sr2LiCBr3N2: theoretical powder X-ray diffraction pattern (a wavelength of 1.5418 Å), based on a DFT-relaxed cell (GGA-PBE, Alexandria).

Main lines, in order of falling intensity (2θ = 10–90°):
2θ/deg, I_rel
31.50, 100
34.38, 37
52.63, 37
29.66, 35
47.32, 26
20.85, 20
65.42, 18
80.19, 17
62.64, 12
53.80, 11

Structural model:
```
data_Sr2LiCBr3N2
_chemical_formula_sum 'Sr8 Li4 C4 Br12 N8'
_symmetry_space_group_name_H-M 'P 1'
_symmetry_Int_Tables_number 1
_cell_length_a 10.4348
_cell_length_b 10.4348
_cell_length_c 10.4348
_cell_angle_alpha 60.00
_cell_angle_beta 60.00
_cell_angle_gamma 60.00
loop_
_symmetry_equiv_pos_as_xyz
'x,y,z'
loop_
_atom_site_label
_atom_site_fract_x
_atom_site_fract_y
_atom_site_fract_z
Sr1 0.1647 0.7784 0.7784
Sr2 0.2216 0.2216 0.2216
Sr3 0.2216 0.2216 0.8353
Sr4 0.2216 0.8353 0.2216
Sr5 0.7784 0.1647 0.7784
Sr6 0.7784 0.7784 0.1647
Sr7 0.7784 0.7784 0.7784
Sr8 0.8353 0.2216 0.2216
Li1 0.0000 0.5000 0.5000
Li2 0.5000 0.0000 0.5000
Li3 0.5000 0.5000 0.0000
Li4 0.5000 0.5000 0.5000
C1 0.0000 0.0000 0.0000
C2 0.0000 0.0000 0.5000
C3 0.0000 0.5000 0.0000
C4 0.5000 0.0000 0.0000
Br1 0.1802 0.1802 0.5698
Br2 0.1802 0.5698 0.1802
Br3 0.1802 0.5698 0.5698
Br4 0.4302 0.4302 0.8198
Br5 0.4302 0.8198 0.4302
Br6 0.4302 0.8198 0.8198
Br7 0.5698 0.1802 0.1802
Br8 0.5698 0.1802 0.5698
Br9 0.5698 0.5698 0.1802
Br10 0.8198 0.4302 0.4302
Br11 0.8198 0.4302 0.8198
Br12 0.8198 0.8198 0.4302
N1 0.0483 0.0483 0.0483
N2 0.0483 0.0483 0.3551
N3 0.0483 0.3551 0.0483
N4 0.3551 0.0483 0.0483
N5 0.6449 0.9517 0.9517
N6 0.9517 0.6449 0.9517
N7 0.9517 0.9517 0.6449
N8 0.9517 0.9517 0.9517
```

---

6.
LiRe2CBr: theoretical powder X-ray diffraction pattern (a wavelength of 1.5418 Å), based on a DFT-relaxed cell (GGA-PBE, Alexandria).

Main lines, in order of falling intensity (2θ = 10–90°):
2θ/deg, I_rel
20.41, 100
44.42, 54
34.34, 53
39.01, 45
27.31, 38
58.27, 28
60.58, 22
41.51, 19
67.68, 16
56.36, 15

Structural model:
```
data_LiRe2CBr
_chemical_formula_sum 'Li1 Re2 C1 Br1'
_symmetry_space_group_name_H-M 'P 1'
_symmetry_Int_Tables_number 1
_cell_length_a 4.6176
_cell_length_b 4.6176
_cell_length_c 4.3513
_cell_angle_alpha 90.00
_cell_angle_beta 90.00
_cell_angle_gamma 90.00
loop_
_symmetry_equiv_pos_as_xyz
'x,y,z'
loop_
_atom_site_label
_atom_site_fract_x
_atom_site_fract_y
_atom_site_fract_z
Li1 0.0000 0.0000 0.0000
Re1 0.0000 0.5000 0.5000
Re2 0.5000 0.0000 0.5000
C1 0.5000 0.5000 0.0000
Br1 0.5000 0.5000 0.5000
```

---

7.
Na3MgC2BrO6: theoretical powder X-ray diffraction pattern (a wavelength of 1.5418 Å), based on a DFT-relaxed cell (GGA-PBE, Alexandria).

Main lines, in order of falling intensity (2θ = 10–90°):
2θ/deg, I_rel
35.25, 100
41.59, 55
50.71, 40
26.98, 39
24.72, 39
21.37, 37
55.63, 36
32.30, 34
63.26, 26
74.54, 19

Structural model:
```
data_Na3MgC2BrO6
_chemical_formula_sum 'Na12 Mg4 C8 Br4 O24'
_symmetry_space_group_name_H-M 'P 1'
_symmetry_Int_Tables_number 1
_cell_length_a 10.1848
_cell_length_b 10.1848
_cell_length_c 10.1848
_cell_angle_alpha 60.00
_cell_angle_beta 60.00
_cell_angle_gamma 60.00
loop_
_symmetry_equiv_pos_as_xyz
'x,y,z'
loop_
_atom_site_label
_atom_site_fract_x
_atom_site_fract_y
_atom_site_fract_z
Na1 0.1151 0.1151 0.6349
Na2 0.1151 0.6349 0.1151
Na3 0.1151 0.6349 0.6349
Na4 0.3651 0.3651 0.8849
Na5 0.3651 0.8849 0.3651
Na6 0.3651 0.8849 0.8849
Na7 0.6349 0.1151 0.1151
Na8 0.6349 0.1151 0.6349
Na9 0.6349 0.6349 0.1151
Na10 0.8849 0.3651 0.3651
Na11 0.8849 0.3651 0.8849
Na12 0.8849 0.8849 0.3651
Mg1 0.0000 0.5000 0.5000
Mg2 0.5000 0.0000 0.5000
Mg3 0.5000 0.5000 0.0000
Mg4 0.5000 0.5000 0.5000
C1 0.2833 0.2833 0.2833
C2 0.2833 0.2833 0.6502
C3 0.2833 0.6502 0.2833
C4 0.3498 0.7167 0.7167
C5 0.6502 0.2833 0.2833
C6 0.7167 0.3498 0.7167
C7 0.7167 0.7167 0.3498
C8 0.7167 0.7167 0.7167
Br1 0.0000 0.0000 0.0000
Br2 0.0000 0.0000 0.5000
Br3 0.0000 0.5000 0.0000
Br4 0.5000 0.0000 0.0000
O1 0.1357 0.3561 0.3561
O2 0.1357 0.3561 0.6520
O3 0.1357 0.6520 0.3561
O4 0.3480 0.6439 0.6439
O5 0.3480 0.6439 0.8643
O6 0.3480 0.8643 0.6439
O7 0.3561 0.1357 0.3561
O8 0.3561 0.1357 0.6520
O9 0.3561 0.3561 0.1357
O10 0.3561 0.3561 0.6520
O11 0.3561 0.6520 0.1357
O12 0.3561 0.6520 0.3561
O13 0.6439 0.3480 0.6439
O14 0.6439 0.3480 0.8643
O15 0.6439 0.6439 0.3480
O16 0.6439 0.6439 0.8643
O17 0.6439 0.8643 0.3480
O18 0.6439 0.8643 0.6439
O19 0.6520 0.1357 0.3561
O20 0.6520 0.3561 0.1357
O21 0.6520 0.3561 0.3561
O22 0.8643 0.3480 0.6439
O23 0.8643 0.6439 0.3480
O24 0.8643 0.6439 0.6439
```

---

8.
MnC4Br3N: theoretical powder X-ray diffraction pattern (a wavelength of 1.5418 Å), based on a DFT-relaxed cell (GGA-PBE, Alexandria).

Main lines, in order of falling intensity (2θ = 10–90°):
2θ/deg, I_rel
11.56, 100
34.13, 54
24.64, 36
42.52, 29
54.08, 15
37.04, 12
28.43, 11
35.06, 9
54.98, 9
47.52, 9

Structural model:
```
data_MnC4Br3N
_chemical_formula_sum 'Mn2 C8 Br6 N2'
_symmetry_space_group_name_H-M 'P 1'
_symmetry_Int_Tables_number 1
_cell_length_a 8.8373
_cell_length_b 8.8373
_cell_length_c 6.2794
_cell_angle_alpha 90.00
_cell_angle_beta 90.00
_cell_angle_gamma 120.00
loop_
_symmetry_equiv_pos_as_xyz
'x,y,z'
loop_
_atom_site_label
_atom_site_fract_x
_atom_site_fract_y
_atom_site_fract_z
Mn1 0.0000 0.0000 0.0000
Mn2 0.0000 0.0000 0.5000
C1 0.1968 0.5729 0.2272
C2 0.3333 0.6667 0.0607
C3 0.3761 0.8032 0.2272
C4 0.4271 0.6239 0.2272
C5 0.5729 0.3761 0.7272
C6 0.6239 0.1968 0.7272
C7 0.6667 0.3333 0.5607
C8 0.8032 0.4271 0.7272
Br1 0.0249 0.2396 0.7501
Br2 0.2147 0.9751 0.7501
Br3 0.2396 0.2147 0.2501
Br4 0.7604 0.7853 0.7501
Br5 0.7853 0.0249 0.2501
Br6 0.9751 0.7604 0.2501
N1 0.3333 0.6667 0.3916
N2 0.6667 0.3333 0.8916
```

---

9.
MnW2CBr: theoretical powder X-ray diffraction pattern (a wavelength of 1.5418 Å), based on a DFT-relaxed cell (GGA-PBE, Alexandria).

Main lines, in order of falling intensity (2θ = 10–90°):
2θ/deg, I_rel
20.86, 100
34.56, 97
38.91, 76
44.55, 57
58.94, 44
27.24, 33
42.45, 30
19.17, 29
67.68, 27
56.20, 26

Structural model:
```
data_MnW2CBr
_chemical_formula_sum 'Mn1 W2 C1 Br1'
_symmetry_space_group_name_H-M 'P 1'
_symmetry_Int_Tables_number 1
_cell_length_a 4.6292
_cell_length_b 4.6292
_cell_length_c 4.2589
_cell_angle_alpha 90.00
_cell_angle_beta 90.00
_cell_angle_gamma 90.00
loop_
_symmetry_equiv_pos_as_xyz
'x,y,z'
loop_
_atom_site_label
_atom_site_fract_x
_atom_site_fract_y
_atom_site_fract_z
Mn1 0.0000 0.0000 0.0000
W1 0.0000 0.5000 0.5000
W2 0.5000 0.0000 0.5000
C1 0.5000 0.5000 0.0000
Br1 0.0000 0.0000 0.5000
```